This entry pairs a crystal structure of Mn2Tl3WO9 with its computed powder diffraction line list. Radiation: Cu Kα (λ = 1.5418 Å). Structure: the GGA+U geometry in Alexandria.
No peak broadening, texture or thermal motion is included.

Top 6 peaks for 2θ = 10–80°, most intense first:
- 31.55°, d = 2.836 Å, intensity 100.0
- 31.73°, d = 2.820 Å, intensity 95.6
- 45.35°, d = 2.000 Å, intensity 54.2
- 56.40°, d = 1.631 Å, intensity 40.1
- 22.23°, d = 3.999 Å, intensity 30.4
- 56.51°, d = 1.628 Å, intensity 19.2

Structural model:
```
Mn2Tl3WO9
1.0
5.641 0.000 0.000
-2.820 4.885 0.000
0.000 0.000 6.965
Mn Tl W O
2 3 1 9
direct
0.333 0.667 0.166
0.667 0.333 0.834
0.000 0.000 0.000
0.333 0.667 0.699
0.667 0.333 0.301
0.000 0.000 0.500
0.000 0.500 0.000
0.163 0.326 0.338
0.163 0.837 0.338
0.326 0.163 0.662
0.500 0.000 0.000
0.500 0.500 0.000
0.674 0.837 0.338
0.837 0.163 0.662
0.837 0.674 0.662
```